Calculated X-ray powder pattern
Compound: Tb5Nd4Sm4
Radiation: copper Kα
Structure: a cell relaxed with GGA-PBE
Kinematic intensities with the Lorentz-polarization factor, no thermal factor.

Top 8 peaks for 2θ = 5–70°, in order of falling intensity:
d/Å, intensity
2.955, 100
2.565, 34
1.546, 29
1.808, 24
2.549, 17
1.539, 14
1.478, 12
1.814, 12

Crystal structure
```
Tb5Nd4Sm4
1.0
-6.5394 6.5394 2.5487
6.5394 -6.5394 2.5487
6.5394 6.5394 -2.5487
Tb Nd Sm
5 4 4
Direct
0.0000 0.0000 0.0000 Tb
0.3100 0.5386 0.8486 Tb
0.4614 0.3100 0.7714 Tb
0.5386 0.6900 0.2286 Tb
0.6900 0.4614 0.1514 Tb
0.0783 0.3834 0.4617 Nd
0.3834 0.9217 0.3051 Nd
0.6166 0.0783 0.6948 Nd
0.9217 0.6166 0.5383 Nd
0.1531 0.7707 0.9237 Sm
0.2293 0.1531 0.3824 Sm
0.7707 0.8469 0.6176 Sm
0.8469 0.2293 0.0763 Sm
```

---

Calculated X-ray powder pattern
Compound: BeNi2B
Radiation: copper Kα
Structure: a cell relaxed with GGA-PBE
Kinematic intensities with the Lorentz-polarization factor, no thermal factor.

Top 3 peaks for 2θ = 5–70°, in order of falling intensity:
d/Å, intensity
1.807, 100
2.555, 98
1.475, 22

Crystal structure
```
BeNi2B
1.0
5.1103 0.0000 0.0000
0.0000 5.1103 0.0000
0.0000 0.0000 5.1103
Be Ni B
4 8 4
Direct
0.0000 0.0000 0.0000 Be
0.0000 0.5000 0.5000 Be
0.5000 0.0000 0.5000 Be
0.5000 0.5000 0.0000 Be
0.2500 0.2500 0.2500 Ni
0.2500 0.2500 0.7500 Ni
0.2500 0.7500 0.2500 Ni
0.2500 0.7500 0.7500 Ni
0.7500 0.2500 0.2500 Ni
0.7500 0.2500 0.7500 Ni
0.7500 0.7500 0.2500 Ni
0.7500 0.7500 0.7500 Ni
0.0000 0.0000 0.5000 B
0.0000 0.5000 0.0000 B
0.5000 0.0000 0.0000 B
0.5000 0.5000 0.5000 B
```

---

Calculated X-ray powder pattern
Compound: CeInSnGe
Radiation: copper Kα
Structure: a cell relaxed with GGA-PBE
Kinematic intensities with the Lorentz-polarization factor, no thermal factor.

Top 8 peaks for 2θ = 5–70°, in order of falling intensity:
d/Å, intensity
2.642, 100
2.424, 20
2.262, 16
1.438, 15
2.195, 15
1.368, 13
1.654, 12
1.627, 11

Crystal structure
```
CeInSnGe
1.0
4.3909 0.0000 0.0000
0.0000 4.5239 0.0000
0.0000 0.0000 4.8477
Ce In Sn Ge
1 1 1 1
Direct
0.0000 0.0000 0.0000 Ce
0.0000 0.5000 0.5000 In
0.5000 0.0000 0.5000 Sn
0.5000 0.5000 0.0000 Ge
```

---

Calculated X-ray powder pattern
Compound: LiHg4Br
Radiation: copper Kα
Structure: a cell relaxed with GGA-PBE
Kinematic intensities with the Lorentz-polarization factor, no thermal factor.

Top 8 peaks for 2θ = 5–70°, in order of falling intensity:
d/Å, intensity
2.698, 100
2.584, 89
5.167, 86
1.582, 37
1.349, 36
1.722, 36
2.237, 35
2.053, 25

Crystal structure
```
LiHg4Br
1.0
0.0000 4.4748 4.4748
4.4748 0.0000 4.4748
4.4748 4.4748 0.0000
Li Hg Br
1 4 1
Direct
0.0000 0.0000 0.0000 Li
0.3752 0.3752 0.3752 Hg
0.3752 0.3752 0.8743 Hg
0.3752 0.8743 0.3752 Hg
0.8743 0.3752 0.3752 Hg
0.7500 0.7500 0.7500 Br
```

---

Calculated X-ray powder pattern
Compound: Ba2LaNd3O8
Radiation: copper Kα
Structure: a cell relaxed with GGA-PBE
Kinematic intensities with the Lorentz-polarization factor, no thermal factor.

Top 8 peaks for 2θ = 5–70°, in order of falling intensity:
d/Å, intensity
3.136, 100
3.182, 60
3.114, 57
1.861, 46
1.824, 46
2.988, 43
2.004, 35
3.721, 31

Crystal structure
```
Ba2LaNd3O8
1.0
3.6478 2.1060 6.1398
-3.6478 2.1060 6.1398
0.0000 -4.2121 6.1398
Ba La Nd O
2 1 3 8
Direct
0.0000 0.0000 0.0000 Ba
0.3786 0.3786 0.3786 Ba
0.7585 0.7585 0.7585 La
0.3762 0.3762 0.8841 Nd
0.3762 0.8841 0.3762 Nd
0.8841 0.3762 0.3762 Nd
0.1311 0.1311 0.5744 O
0.1311 0.5744 0.1311 O
0.1428 0.6363 0.6363 O
0.1461 0.1461 0.1461 O
0.5744 0.1311 0.1311 O
0.6184 0.6184 0.6184 O
0.6363 0.1428 0.6363 O
0.6363 0.6363 0.1428 O
```

---

Calculated X-ray powder pattern
Compound: Ac3Nd13
Radiation: copper Kα
Structure: a cell relaxed with GGA-PBE
Kinematic intensities with the Lorentz-polarization factor, no thermal factor.

Top 8 peaks for 2θ = 5–70°, in order of falling intensity:
d/Å, intensity
3.052, 100
2.647, 34
1.596, 30
1.868, 25
2.635, 17
1.590, 15
1.526, 13
1.872, 12

Crystal structure
```
Ac3Nd13
1.0
10.5892 0.0000 0.0000
0.0000 5.2702 5.2950
0.0000 -5.2702 5.2950
Ac Nd
3 13
Direct
0.0000 0.0000 0.0000 Ac
0.2532 0.2581 0.2581 Ac
0.7468 0.2581 0.2581 Ac
0.0000 0.0024 0.5069 Nd
0.0000 0.5069 0.0024 Nd
0.0000 0.5103 0.5103 Nd
0.2527 0.2576 0.7546 Nd
0.2527 0.7535 0.7535 Nd
0.2527 0.7546 0.2576 Nd
0.5000 0.0007 0.5120 Nd
0.5000 0.0024 0.0024 Nd
0.5000 0.5109 0.5109 Nd
0.5000 0.5120 0.0007 Nd
0.7473 0.2576 0.7546 Nd
0.7473 0.7535 0.7535 Nd
0.7473 0.7546 0.2576 Nd
```

---

Calculated X-ray powder pattern
Compound: PrAlZn3
Radiation: copper Kα
Structure: a cell relaxed with GGA-PBE
Kinematic intensities with the Lorentz-polarization factor, no thermal factor.

Top 8 peaks for 2θ = 5–70°, in order of falling intensity:
d/Å, intensity
3.012, 100
2.382, 68
2.537, 60
1.679, 46
2.367, 33
1.547, 25
3.358, 22
1.953, 19

Crystal structure
```
PrAlZn3
1.0
6.0114 0.0000 0.0000
0.0000 7.8103 0.0000
0.0000 0.0000 4.7332
Pr Al Zn
2 2 6
Direct
0.0000 0.0000 0.0000 Pr
0.5000 0.5000 0.0000 Pr
0.0000 0.5000 0.5000 Al
0.5000 0.0000 0.5000 Al
0.0000 0.5000 0.0000 Zn
0.2500 0.2500 0.5000 Zn
0.2500 0.7500 0.5000 Zn
0.5000 0.0000 0.0000 Zn
0.7500 0.2500 0.5000 Zn
0.7500 0.7500 0.5000 Zn
```

---

Calculated X-ray powder pattern
Compound: TbDy7Mg4
Radiation: copper Kα
Structure: a cell relaxed with GGA-PBE
Kinematic intensities with the Lorentz-polarization factor, no thermal factor.

Top 8 peaks for 2θ = 5–70°, in order of falling intensity:
d/Å, intensity
2.865, 100
2.788, 73
2.603, 72
2.940, 65
2.846, 61
3.003, 59
3.719, 51
2.019, 46

Crystal structure
```
TbDy7Mg4
1.0
7.5315 -2.8645 0.0000
7.5315 2.8645 0.0000
-5.0775 0.0000 8.2205
Tb Dy Mg
1 7 4
Direct
0.0000 0.0000 0.0000 Tb
0.0799 0.0799 0.4250 Dy
0.2022 0.2022 0.8776 Dy
0.2509 0.2509 0.2886 Dy
0.5000 0.5000 0.0000 Dy
0.7491 0.7491 0.7114 Dy
0.7978 0.7978 0.1224 Dy
0.9201 0.9201 0.5750 Dy
0.3250 0.3250 0.6543 Mg
0.4582 0.4582 0.3020 Mg
0.5418 0.5418 0.6980 Mg
0.6750 0.6750 0.3457 Mg
```

---

Calculated X-ray powder pattern
Compound: Ho4S5I
Radiation: copper Kα
Structure: a cell relaxed with GGA-PBE
Kinematic intensities with the Lorentz-polarization factor, no thermal factor.

Top 8 peaks for 2θ = 5–70°, in order of falling intensity:
d/Å, intensity
4.118, 100
2.321, 89
3.490, 88
2.090, 32
2.610, 24
2.053, 24
3.310, 19
3.219, 19

Crystal structure
```
Ho4S5I
1.0
8.1762 0.0000 0.0000
0.0000 10.4420 0.0000
0.0000 0.0000 6.6992
Ho S I
8 10 2
Direct
0.0287 0.2500 0.0165 Ho
0.2500 0.0317 0.5053 Ho
0.2500 0.4683 0.5053 Ho
0.4713 0.2500 0.0165 Ho
0.5287 0.7500 0.9835 Ho
0.7500 0.5317 0.4947 Ho
0.7500 0.9683 0.4947 Ho
0.9713 0.7500 0.9835 Ho
0.0082 0.5592 0.7441 S
0.0082 0.9408 0.7441 S
0.2500 0.2500 0.7173 S
0.4918 0.5592 0.7441 S
0.4918 0.9408 0.7441 S
0.5082 0.0592 0.2559 S
0.5082 0.4408 0.2559 S
0.7500 0.7500 0.2827 S
0.9918 0.0592 0.2559 S
0.9918 0.4408 0.2559 S
0.2500 0.7500 0.2996 I
0.7500 0.2500 0.7004 I
```